This entry pairs a crystal structure of CaSnP2O7 with its computed powder diffraction line list. Radiation: a wavelength of 1.5418 Å. Structure: a GGA-PBE-relaxed structure.
Intensities are scaled so that the largest is 100.

Main lines, in order of rising 2θ (10° ≤ 2θ ≤ 80°):
(hkl)	d (Å)	I/Imax
0 1 1	6.806	51
1 1 0	5.653	57
0 2 0	5.131	38
1 1 1	4.259	30
1 2 -1	4.084	37
1 2 1	3.458	41
2 1 -2	3.202	100
1 1 2	3.113	60
1 3 -1	3.052	69
2 2 -3	2.478	30

Structural model:
abc: 7.2833 10.2615 9.7692
angles: 90.00 111.36 90.00
Element x y z (fractional)
Ca 0.1812 0.0365 0.2863
Ca 0.1812 0.4635 0.7863
Ca 0.8188 0.5365 0.2137
Ca 0.8188 0.9635 0.7137
Sn 0.3191 0.1339 0.9421
Sn 0.3191 0.3661 0.4421
Sn 0.6809 0.6339 0.5579
Sn 0.6809 0.8661 0.0579
P 0.0025 0.7121 0.9650
P 0.0025 0.7879 0.4650
P 0.3987 0.7489 0.2161
P 0.3987 0.7511 0.7161
P 0.6013 0.2489 0.2839
P 0.6013 0.2511 0.7839
P 0.9975 0.2121 0.5350
P 0.9975 0.2879 0.0350
O 0.0089 0.1179 0.6582
O 0.0089 0.3821 0.1582
O 0.0118 0.1439 0.0756
O 0.0118 0.3561 0.5756
O 0.1557 0.1829 0.4649
O 0.1557 0.3171 0.9649
O 0.2109 0.6782 0.0950
O 0.2109 0.8218 0.5950
O 0.3687 0.6046 0.7109
O 0.3687 0.8954 0.2109
O 0.4209 0.6841 0.3620
O 0.4209 0.8159 0.8620
O 0.4244 0.2105 0.3304
O 0.4244 0.2895 0.8304
O 0.5756 0.7105 0.1696
O 0.5756 0.7895 0.6696
O 0.5791 0.1841 0.1380
O 0.5791 0.3159 0.6380
O 0.6313 0.1046 0.7891
O 0.6313 0.3954 0.2891
O 0.7891 0.1782 0.4050
O 0.7891 0.3218 0.9050
O 0.8443 0.6829 0.0351
O 0.8443 0.8171 0.5351
O 0.9882 0.6439 0.4244
O 0.9882 0.8561 0.9244
O 0.9911 0.6179 0.8418
O 0.9911 0.8821 0.3418